This entry pairs a crystal structure of Pm2PrDyHo with its calculated powder XRD pattern. Radiation: Cu Kα, 1.54184 Å. Structure: the PBE geometry in Alexandria.
Peak positions follow from Bragg's law for the DFT cell and can differ from measured ones.

Main lines, in order of rising 2θ (2θ = 15–90°):
2θ = 21.31°, intensity 233; 2θ = 28.64°, intensity 1000; 2θ = 28.85°, intensity 551; 2θ = 29.49°, intensity 630; 2θ = 31.73°, intensity 267; 2θ = 32.10°, intensity 361; 2θ = 32.50°, intensity 291; 2θ = 33.15°, intensity 260; 2θ = 33.93°, intensity 299; 2θ = 34.45°, intensity 256; 2θ = 44.94°, intensity 249; 2θ = 52.74°, intensity 294

Structure:
a b c (Å): 8.345 6.667 6.230
angles (deg): 90.00 92.34 90.00
Space group P2/c (No. 13)
Inequivalent atoms, fractional coordinates:
Pm: 0.192 0.190 0.263 x4
Pr: 0.500 0.500 0.000 x2
Dy: 0.500 0.072 0.750 x2
Ho: 0.000 0.340 0.750 x2